For Sm6Y2Cd, the PBE geometry in Alexandria gives the theoretical powder XRD pattern in this record (a wavelength of 1.5418 Å).
No peak broadening, texture or thermal motion is included.

Peak list (12 most intense, 2θ = 10–90°, in order of rising 2θ)
| Position (°2θ) | d (Å) | Rel. int. |
| --- | --- | --- |
| 30.74 | 2.909 | 100 |
| 35.57 | 2.524 | 34 |
| 35.79 | 2.509 | 17 |
| 51.18 | 1.785 | 12 |
| 51.35 | 1.779 | 24 |
| 60.90 | 1.521 | 28 |
| 61.19 | 1.515 | 14 |
| 64.02 | 1.454 | 12 |
| 83.50 | 1.158 | 6 |
| 83.76 | 1.155 | 11 |
| 86.15 | 1.129 | 5 |
| 86.67 | 1.123 | 5 |

```
data_Sm6Y2Cd
_space_group_name_H-M_alt 'P 1'
_space_group_IT_number 1
_cell_length_a 10.709
_cell_length_b 10.709
_cell_length_c 5.018
_cell_angle_alpha 90.00
_cell_angle_beta 90.00
_cell_angle_gamma 90.00
loop_
_space_group_symop_operation_xyz
'x,y,z'
loop_
_atom_site_label
_atom_site_type_symbol
_atom_site_fract_x
_atom_site_fract_y
_atom_site_fract_z
_atom_site_occupancy
Sm1 Sm 0.003 0.333 0.000 1
Sm2 Sm 0.166 0.166 0.500 1
Sm3 Sm 0.167 0.503 0.500 1
Sm4 Sm 0.333 0.003 0.000 1
Sm5 Sm 0.334 0.666 0.000 1
Sm6 Sm 0.497 0.833 0.500 1
Sm7 Sm 0.503 0.167 0.500 1
Sm8 Sm 0.666 0.334 0.000 1
Sm9 Sm 0.667 0.997 0.000 1
Sm10 Sm 0.833 0.497 0.500 1
Sm11 Sm 0.834 0.834 0.500 1
Sm12 Sm 0.997 0.667 0.000 1
Y1 Y 0.161 0.839 0.500 1
Y2 Y 0.339 0.339 0.000 1
Y3 Y 0.661 0.661 0.000 1
Y4 Y 0.839 0.161 0.500 1
Cd1 Cd 0.000 0.000 0.000 1
Cd2 Cd 0.500 0.500 0.500 1
```

For Ce6PuSb10, the PBE geometry in Alexandria gives the theoretical powder XRD pattern in this record (a wavelength of 1.5418 Å).
No peak broadening, texture or thermal motion is included.

Peak list (12 most intense, 2θ = 10–90°, in order of rising 2θ)
| Position (°2θ) | d (Å) | Rel. int. |
| --- | --- | --- |
| 17.88 | 4.960 | 12 |
| 32.30 | 2.771 | 69 |
| 32.82 | 2.729 | 90 |
| 34.46 | 2.602 | 100 |
| 42.37 | 2.133 | 21 |
| 48.33 | 1.883 | 28 |
| 50.78 | 1.798 | 13 |
| 53.08 | 1.725 | 16 |
| 59.66 | 1.550 | 18 |
| 61.79 | 1.501 | 14 |
| 65.20 | 1.431 | 12 |
| 69.44 | 1.354 | 21 |

```
data_Ce6PuSb10
_space_group_name_H-M_alt 'P 1'
_space_group_IT_number 1
_cell_length_a 9.452
_cell_length_b 9.452
_cell_length_c 6.235
_cell_angle_alpha 90.00
_cell_angle_beta 90.00
_cell_angle_gamma 120.00
loop_
_space_group_symop_operation_xyz
'x,y,z'
loop_
_atom_site_label
_atom_site_type_symbol
_atom_site_fract_x
_atom_site_fract_y
_atom_site_fract_z
_atom_site_occupancy
Ce1 Ce 0.000 0.383 0.251 1
Ce2 Ce 0.000 0.617 0.749 1
Ce3 Ce 0.383 0.000 0.251 1
Ce4 Ce 0.383 0.383 0.749 1
Ce5 Ce 0.617 0.000 0.749 1
Ce6 Ce 0.617 0.617 0.251 1
Pu1 Pu 0.000 0.000 0.500 1
Sb1 Sb 0.000 0.271 0.761 1
Sb2 Sb 0.000 0.729 0.239 1
Sb3 Sb 0.271 0.000 0.761 1
Sb4 Sb 0.271 0.271 0.239 1
Sb5 Sb 0.333 0.667 0.000 1
Sb6 Sb 0.333 0.667 0.500 1
Sb7 Sb 0.667 0.333 0.000 1
Sb8 Sb 0.667 0.333 0.500 1
Sb9 Sb 0.729 0.000 0.239 1
Sb10 Sb 0.729 0.729 0.761 1
```

For Ag2SbSe2I, the PBE geometry in Alexandria gives the theoretical powder XRD pattern in this record (a wavelength of 1.5418 Å).
No peak broadening, texture or thermal motion is included.

Peak list (12 most intense, 2θ = 10–90°, in order of rising 2θ)
| Position (°2θ) | d (Å) | Rel. int. |
| --- | --- | --- |
| 21.12 | 4.207 | 19 |
| 23.19 | 3.835 | 34 |
| 24.98 | 3.565 | 47 |
| 26.86 | 3.319 | 41 |
| 28.07 | 3.179 | 45 |
| 28.42 | 3.140 | 20 |
| 30.84 | 2.900 | 19 |
| 37.00 | 2.430 | 100 |
| 39.52 | 2.280 | 25 |
| 40.43 | 2.231 | 47 |
| 42.26 | 2.139 | 37 |
| 51.25 | 1.783 | 27 |

```
data_Ag2SbSe2I
_space_group_name_H-M_alt 'P 1'
_space_group_IT_number 1
_cell_length_a 6.696
_cell_length_b 7.129
_cell_length_c 7.163
_cell_angle_alpha 90.00
_cell_angle_beta 97.77
_cell_angle_gamma 90.00
loop_
_space_group_symop_operation_xyz
'x,y,z'
loop_
_atom_site_label
_atom_site_type_symbol
_atom_site_fract_x
_atom_site_fract_y
_atom_site_fract_z
_atom_site_occupancy
Ag1 Ag 0.052 0.250 0.283 1
Ag2 Ag 0.434 0.250 0.542 1
Ag3 Ag 0.566 0.750 0.458 1
Ag4 Ag 0.948 0.750 0.717 1
Sb1 Sb 0.348 0.750 0.903 1
Sb2 Sb 0.652 0.250 0.097 1
Se1 Se 0.385 0.013 0.217 1
Se2 Se 0.385 0.487 0.217 1
Se3 Se 0.615 0.513 0.783 1
Se4 Se 0.615 0.987 0.783 1
I1 I 0.041 0.250 0.683 1
I2 I 0.959 0.750 0.317 1
```

For Lu5Co4Si14, the PBE geometry in Alexandria gives the theoretical powder XRD pattern in this record (a wavelength of 1.5418 Å).
No peak broadening, texture or thermal motion is included.

Peak list (12 most intense, 2θ = 10–90°, in order of rising 2θ)
| Position (°2θ) | d (Å) | Rel. int. |
| --- | --- | --- |
| 22.05 | 4.032 | 44 |
| 24.11 | 3.691 | 41 |
| 25.70 | 3.467 | 61 |
| 29.70 | 3.008 | 21 |
| 32.03 | 2.794 | 19 |
| 33.04 | 2.711 | 24 |
| 34.71 | 2.584 | 49 |
| 37.16 | 2.419 | 28 |
| 37.78 | 2.381 | 100 |
| 37.90 | 2.374 | 55 |
| 46.88 | 1.938 | 19 |
| 68.83 | 1.364 | 20 |

```
data_Lu5Co4Si14
_space_group_name_H-M_alt 'P 1'
_space_group_IT_number 1
_cell_length_a 12.241
_cell_length_b 7.752
_cell_length_c 7.680
_cell_angle_alpha 90.00
_cell_angle_beta 98.84
_cell_angle_gamma 90.00
loop_
_space_group_symop_operation_xyz
'x,y,z'
loop_
_atom_site_label
_atom_site_type_symbol
_atom_site_fract_x
_atom_site_fract_y
_atom_site_fract_z
_atom_site_occupancy
Lu1 Lu 0.000 0.000 0.000 1
Lu2 Lu 0.000 0.500 0.500 1
Lu3 Lu 0.365 0.248 0.342 1
Lu4 Lu 0.365 0.252 0.842 1
Lu5 Lu 0.365 0.749 0.340 1
Lu6 Lu 0.365 0.751 0.840 1
Lu7 Lu 0.635 0.249 0.160 1
Lu8 Lu 0.635 0.251 0.660 1
Lu9 Lu 0.635 0.748 0.158 1
Lu10 Lu 0.635 0.752 0.658 1
Co1 Co 0.000 0.127 0.628 1
Co2 Co 0.000 0.373 0.128 1
Co3 Co 0.000 0.627 0.872 1
Co4 Co 0.000 0.873 0.372 1
Co5 Co 0.250 0.000 0.061 1
Co6 Co 0.250 0.500 0.561 1
Co7 Co 0.750 0.000 0.939 1
Co8 Co 0.750 0.500 0.439 1
Si1 Si 0.000 0.166 0.334 1
Si2 Si 0.000 0.334 0.834 1
Si3 Si 0.000 0.666 0.166 1
Si4 Si 0.000 0.834 0.666 1
Si5 Si 0.178 0.005 0.769 1
Si6 Si 0.178 0.226 0.550 1
Si7 Si 0.178 0.274 0.050 1
Si8 Si 0.178 0.495 0.269 1
Si9 Si 0.178 0.726 0.038 1
Si10 Si 0.178 0.774 0.538 1
Si11 Si 0.179 0.506 0.818 1
Si12 Si 0.179 0.994 0.318 1
Si13 Si 0.439 0.000 0.611 1
Si14 Si 0.439 0.500 0.111 1
Si15 Si 0.440 0.000 0.110 1
Si16 Si 0.440 0.500 0.610 1
Si17 Si 0.560 0.000 0.890 1
Si18 Si 0.560 0.500 0.390 1
Si19 Si 0.561 0.000 0.389 1
Si20 Si 0.561 0.500 0.889 1
Si21 Si 0.821 0.006 0.682 1
Si22 Si 0.821 0.494 0.182 1
Si23 Si 0.822 0.226 0.462 1
Si24 Si 0.822 0.274 0.962 1
Si25 Si 0.822 0.505 0.731 1
Si26 Si 0.822 0.726 0.950 1
Si27 Si 0.822 0.774 0.450 1
Si28 Si 0.822 0.995 0.231 1
```

For Ru5Pb4, the PBE geometry in Alexandria gives the theoretical powder XRD pattern in this record (a wavelength of 1.5418 Å).
No peak broadening, texture or thermal motion is included.

Peak list (12 most intense, 2θ = 10–90°, in order of rising 2θ)
| Position (°2θ) | d (Å) | Rel. int. |
| --- | --- | --- |
| 25.41 | 3.505 | 11 |
| 26.78 | 3.329 | 19 |
| 30.53 | 2.928 | 11 |
| 37.25 | 2.414 | 32 |
| 37.93 | 2.372 | 100 |
| 38.53 | 2.337 | 88 |
| 49.39 | 1.845 | 18 |
| 55.17 | 1.665 | 26 |
| 69.30 | 1.356 | 23 |
| 69.68 | 1.349 | 10 |
| 73.25 | 1.292 | 13 |
| 76.84 | 1.241 | 26 |

```
data_Ru5Pb4
_space_group_name_H-M_alt 'P 1'
_space_group_IT_number 1
_cell_length_a 8.095
_cell_length_b 8.095
_cell_length_c 5.855
_cell_angle_alpha 90.00
_cell_angle_beta 90.00
_cell_angle_gamma 120.00
loop_
_space_group_symop_operation_xyz
'x,y,z'
loop_
_atom_site_label
_atom_site_type_symbol
_atom_site_fract_x
_atom_site_fract_y
_atom_site_fract_z
_atom_site_occupancy
Ru1 Ru 0.000 0.293 0.250 1
Ru2 Ru 0.000 0.707 0.750 1
Ru3 Ru 0.293 0.000 0.250 1
Ru4 Ru 0.293 0.293 0.750 1
Ru5 Ru 0.333 0.667 0.000 1
Ru6 Ru 0.333 0.667 0.500 1
Ru7 Ru 0.667 0.333 0.000 1
Ru8 Ru 0.667 0.333 0.500 1
Ru9 Ru 0.707 0.000 0.750 1
Ru10 Ru 0.707 0.707 0.250 1
Pb1 Pb 0.000 0.000 0.000 1
Pb2 Pb 0.000 0.000 0.500 1
Pb3 Pb 0.000 0.377 0.750 1
Pb4 Pb 0.000 0.623 0.250 1
Pb5 Pb 0.377 0.000 0.750 1
Pb6 Pb 0.377 0.377 0.250 1
Pb7 Pb 0.623 0.000 0.250 1
Pb8 Pb 0.623 0.623 0.750 1
```

For Th2Pa2S7, the PBE geometry in Alexandria gives the theoretical powder XRD pattern in this record (a wavelength of 1.5418 Å).
No peak broadening, texture or thermal motion is included.

Peak list (12 most intense, 2θ = 10–90°, in order of rising 2θ)
| Position (°2θ) | d (Å) | Rel. int. |
| --- | --- | --- |
| 23.52 | 3.782 | 100 |
| 27.23 | 3.275 | 28 |
| 38.89 | 2.316 | 65 |
| 45.91 | 1.977 | 35 |
| 46.03 | 1.972 | 17 |
| 48.12 | 1.891 | 9 |
| 56.09 | 1.640 | 8 |
| 61.76 | 1.502 | 15 |
| 63.45 | 1.466 | 8 |
| 70.37 | 1.338 | 15 |
| 75.34 | 1.262 | 13 |
| 88.18 | 1.108 | 12 |

```
data_Th2Pa2S7
_space_group_name_H-M_alt 'P 1'
_space_group_IT_number 1
_cell_length_a 4.638
_cell_length_b 4.638
_cell_length_c 13.070
_cell_angle_alpha 90.00
_cell_angle_beta 90.00
_cell_angle_gamma 90.00
loop_
_space_group_symop_operation_xyz
'x,y,z'
loop_
_atom_site_label
_atom_site_type_symbol
_atom_site_fract_x
_atom_site_fract_y
_atom_site_fract_z
_atom_site_occupancy
Th1 Th 0.000 0.500 0.129 1
Th2 Th 0.500 0.000 0.871 1
Pa1 Pa 0.000 0.500 0.621 1
Pa2 Pa 0.500 0.000 0.379 1
S1 S 0.000 0.000 0.245 1
S2 S 0.000 0.000 0.500 1
S3 S 0.000 0.000 0.755 1
S4 S 0.500 0.500 0.000 1
S5 S 0.500 0.500 0.255 1
S6 S 0.500 0.500 0.500 1
S7 S 0.500 0.500 0.745 1
```

For HoEr2Tm3As6, the PBE geometry in Alexandria gives the theoretical powder XRD pattern in this record (a wavelength of 1.5418 Å).
No peak broadening, texture or thermal motion is included.

Peak list (10 most intense, 2θ = 10–90°, in order of rising 2θ)
| Position (°2θ) | d (Å) | Rel. int. |
| --- | --- | --- |
| 26.79 | 3.327 | 25 |
| 31.03 | 2.882 | 100 |
| 44.46 | 2.038 | 74 |
| 52.67 | 1.738 | 12 |
| 55.21 | 1.664 | 26 |
| 64.70 | 1.441 | 12 |
| 71.33 | 1.322 | 5 |
| 73.48 | 1.289 | 34 |
| 81.89 | 1.176 | 25 |
| 88.07 | 1.109 | 4 |

```
data_HoEr2Tm3As6
_space_group_name_H-M_alt 'P 1'
_space_group_IT_number 1
_cell_length_a 9.111
_cell_length_b 9.111
_cell_length_c 8.149
_cell_angle_alpha 102.89
_cell_angle_beta 102.89
_cell_angle_gamma 25.85
loop_
_space_group_symop_operation_xyz
'x,y,z'
loop_
_atom_site_label
_atom_site_type_symbol
_atom_site_fract_x
_atom_site_fract_y
_atom_site_fract_z
_atom_site_occupancy
Ho1 Ho 0.000 0.000 0.000 1
Er1 Er 0.333 0.333 0.667 1
Er2 Er 0.667 0.667 0.333 1
Tm1 Tm 0.000 0.000 0.500 1
Tm2 Tm 0.333 0.333 0.167 1
Tm3 Tm 0.667 0.667 0.833 1
As1 As 0.166 0.166 0.584 1
As2 As 0.167 0.167 0.083 1
As3 As 0.500 0.500 0.252 1
As4 As 0.500 0.500 0.748 1
As5 As 0.833 0.833 0.917 1
As6 As 0.834 0.834 0.416 1
```

For ScTa2Fe, the PBE geometry in Alexandria gives the theoretical powder XRD pattern in this record (a wavelength of 1.5418 Å).
No peak broadening, texture or thermal motion is included.

Peak list (12 most intense, 2θ = 10–90°, in order of rising 2θ)
| Position (°2θ) | d (Å) | Rel. int. |
| --- | --- | --- |
| 18.86 | 4.706 | 44 |
| 34.59 | 2.593 | 31 |
| 38.25 | 2.353 | 22 |
| 39.29 | 2.293 | 28 |
| 39.67 | 2.272 | 100 |
| 43.93 | 2.061 | 11 |
| 52.53 | 1.742 | 16 |
| 56.00 | 1.642 | 14 |
| 70.10 | 1.342 | 10 |
| 71.47 | 1.320 | 22 |
| 72.92 | 1.297 | 9 |
| 85.47 | 1.136 | 9 |

```
data_ScTa2Fe
_space_group_name_H-M_alt 'P 1'
_space_group_IT_number 1
_cell_length_a 3.147
_cell_length_b 4.586
_cell_length_c 9.411
_cell_angle_alpha 90.00
_cell_angle_beta 90.00
_cell_angle_gamma 90.00
loop_
_space_group_symop_operation_xyz
'x,y,z'
loop_
_atom_site_label
_atom_site_type_symbol
_atom_site_fract_x
_atom_site_fract_y
_atom_site_fract_z
_atom_site_occupancy
Sc1 Sc 0.000 0.000 0.000 1
Sc2 Sc 0.500 0.500 0.500 1
Ta1 Ta 0.000 0.500 0.226 1
Ta2 Ta 0.000 0.500 0.774 1
Ta3 Ta 0.500 0.000 0.274 1
Ta4 Ta 0.500 0.000 0.726 1
Fe1 Fe 0.000 0.000 0.500 1
Fe2 Fe 0.500 0.500 0.000 1
```